No. 1
Structure and simulated powder diffraction line list of TbSm2Dy2Y2 (a DFT-relaxed cell (PBE, Alexandria); Cu Kα (λ = 1.5418 Å)).

Cell and atoms:
```
data_TbSm2Dy2Y2
_chemical_formula_sum 'Tb3 Sm6 Dy6 Y6'
_symmetry_space_group_name_H-M 'R -3 m'
_symmetry_Int_Tables_number 166
_symmetry_space_group_name_Hall '-R 3 2"'
_cell_length_a 5.7013
_cell_length_b 5.7013
_cell_length_c 24.5241
_cell_angle_alpha 90.00
_cell_angle_beta 90.00
_cell_angle_gamma 120.00
loop_
_atom_site_label
_atom_site_type_symbol
_atom_site_fract_x
_atom_site_fract_y
_atom_site_fract_z
Tb1 Tb 0.0000 0.0000 0.0000
Sm1 Sm 0.0000 0.0000 0.2863
Dy1 Dy 0.0000 0.0000 0.4302
Y1 Y 0.0000 0.0000 0.1426
```

Main lines, by intensity (10 to 90 degrees two-theta):
- 31.34 deg, 2.854 Å, rel. 100, (1 1 0)
- 55.83 deg, 1.647 Å, rel. 29, (3 0 0)
- 44.92 deg, 2.018 Å, rel. 18, (0 2 7)
- 55.68 deg, 1.651 Å, rel. 10, (0 1 14)
- 74.38 deg, 1.275 Å, rel. 8, (1 3 7)
- 74.26 deg, 1.277 Å, rel. 8, (1 2 14)
- 65.32 deg, 1.429 Å, rel. 6, (2 0 14)
- 65.49 deg, 1.425 Å, rel. 6, (2 2 0)
- 82.93 deg, 1.164 Å, rel. 3, (4 0 7)
- 10.82 deg, 8.175 Å, rel. 2, (0 0 3)


No. 2
Structure and simulated powder diffraction line list of TbSm2DyY5 (a DFT-relaxed cell (PBE, Alexandria); Cu Kα (λ = 1.5418 Å)).

Cell and atoms:
```
data_TbSm2DyY5
_chemical_formula_sum 'Tb4 Sm8 Dy4 Y20'
_symmetry_space_group_name_H-M 'I 4/m c m'
_symmetry_Int_Tables_number 140
_symmetry_space_group_name_Hall '-I 4 2c'
_cell_length_a 8.6874
_cell_length_b 8.6874
_cell_length_c 15.5582
_cell_angle_alpha 90.00
_cell_angle_beta 90.00
_cell_angle_gamma 90.00
loop_
_atom_site_label
_atom_site_type_symbol
_atom_site_fract_x
_atom_site_fract_y
_atom_site_fract_z
Tb1 Tb 0.0000 0.0000 0.2500
Sm1 Sm 0.1168 0.3832 0.0000
Dy1 Dy 0.0000 0.5000 0.2500
Y1 Y 0.0000 0.0000 0.0000
Y2 Y 0.2089 0.2911 0.3621
```

Main lines, by intensity (10 to 90 degrees two-theta):
- 30.86 deg, 2.898 Å, rel. 100, (2 0 4)
- 28.71 deg, 3.109 Å, rel. 54, (2 1 3)
- 29.07 deg, 3.071 Å, rel. 51, (2 2 0)
- 43.27 deg, 2.091 Å, rel. 30, (4 0 2)
- 52.67 deg, 1.738 Å, rel. 23, (4 2 4)
- 37.78 deg, 2.381 Å, rel. 22, (3 2 1)
- 46.72 deg, 1.944 Å, rel. 17, (0 0 8)
- 37.01 deg, 2.429 Å, rel. 16, (2 1 5)
- 34.62 deg, 2.591 Å, rel. 14, (0 0 6)
- 55.96 deg, 1.643 Å, rel. 13, (2 2 8)


No. 3
Structure and simulated powder diffraction line list of Tb2SmDyY6 (a DFT-relaxed cell (PBE, Alexandria); Cu Kα (λ = 1.5418 Å)).

Cell and atoms:
```
data_Tb2SmDyY6
_chemical_formula_sum 'Tb8 Sm4 Dy4 Y24'
_symmetry_space_group_name_H-M 'C 1 2/c 1'
_symmetry_Int_Tables_number 15
_symmetry_space_group_name_Hall '-C 2yc'
_cell_length_a 9.1127
_cell_length_b 15.0367
_cell_length_c 9.6576
_cell_angle_alpha 90.00
_cell_angle_beta 98.41
_cell_angle_gamma 90.00
loop_
_atom_site_label
_atom_site_type_symbol
_atom_site_fract_x
_atom_site_fract_y
_atom_site_fract_z
Tb1 Tb 0.2471 0.0509 0.0460
Sm1 Sm 0.0000 0.0230 0.7500
Dy1 Dy 0.0000 0.4086 0.2500
Y1 Y 0.0643 0.1861 0.4433
Y2 Y 0.0997 0.3934 0.6181
Y3 Y 0.2067 0.2238 0.8163
```

Main lines, by intensity (10 to 90 degrees two-theta):
- 31.54 deg, 2.837 Å, rel. 100, (2 2 2)
- 30.46 deg, 2.935 Å, rel. 89, (0 2 3)
- 31.36 deg, 2.853 Å, rel. 41, (1 5 0)
- 33.60 deg, 2.668 Å, rel. 40, (1 3 -3)
- 28.61 deg, 3.120 Å, rel. 37, (1 3 2)
- 27.81 deg, 3.208 Å, rel. 27, (2 2 -2)
- 32.33 deg, 2.769 Å, rel. 25, (1 5 -1)
- 11.77 deg, 7.518 Å, rel. 22, (0 2 0)
- 33.21 deg, 2.698 Å, rel. 14, (1 5 1)
- 60.57 deg, 1.529 Å, rel. 14, (2 4 5)


No. 4
Structure and simulated powder diffraction line list of TbSm2Dy2Y (a DFT-relaxed cell (PBE, Alexandria); Cu Kα (λ = 1.5418 Å)).

Cell and atoms:
```
data_TbSm2Dy2Y
_chemical_formula_sum 'Tb2 Sm4 Dy4 Y2'
_symmetry_space_group_name_H-M 'P n n m'
_symmetry_Int_Tables_number 58
_symmetry_space_group_name_Hall '-P 2 2n'
_cell_length_a 6.5889
_cell_length_b 17.8680
_cell_length_c 3.4010
_cell_angle_alpha 90.00
_cell_angle_beta 90.00
_cell_angle_gamma 90.00
loop_
_atom_site_label
_atom_site_type_symbol
_atom_site_fract_x
_atom_site_fract_y
_atom_site_fract_z
Tb1 Tb 0.0000 0.0000 0.0000
Sm1 Sm 0.2323 0.1844 0.0000
Dy1 Dy 0.2293 0.3528 0.5000
Y1 Y 0.0000 0.5000 0.0000
```

Main lines, by intensity (10 to 90 degrees two-theta):
- 41.04 deg, 2.199 Å, rel. 100, (2 3 1)
- 28.88 deg, 3.091 Å, rel. 91, (2 2 0)
- 30.01 deg, 2.978 Å, rel. 76, (0 6 0)
- 30.26 deg, 2.953 Å, rel. 76, (0 3 1)
- 33.81 deg, 2.651 Å, rel. 61, (2 4 0)
- 26.68 deg, 3.341 Å, rel. 56, (0 1 1)
- 33.01 deg, 2.714 Å, rel. 36, (1 6 0)
- 55.37 deg, 1.659 Å, rel. 30, (1 9 1)
- 31.24 deg, 2.863 Å, rel. 30, (1 2 1)
- 35.88 deg, 2.503 Å, rel. 29, (1 4 1)


No. 5
Structure and simulated powder diffraction line list of Tb2Sm2DyY6 (a DFT-relaxed cell (PBE, Alexandria); Cu Kα (λ = 1.5418 Å)).

Cell and atoms:
```
data_Tb2Sm2DyY6
_chemical_formula_sum 'Tb4 Sm4 Dy2 Y12'
_symmetry_space_group_name_H-M 'C m m m'
_symmetry_Int_Tables_number 65
_symmetry_space_group_name_Hall '-C 2 2'
_cell_length_a 5.6891
_cell_length_b 12.0651
_cell_length_c 10.5742
_cell_angle_alpha 90.00
_cell_angle_beta 90.00
_cell_angle_gamma 90.00
loop_
_atom_site_label
_atom_site_type_symbol
_atom_site_fract_x
_atom_site_fract_y
_atom_site_fract_z
Tb1 Tb 0.0000 0.2071 0.0000
Sm1 Sm 0.0000 0.1332 0.5000
Dy1 Dy 0.0000 0.5000 0.0000
Y1 Y 0.0000 0.0000 0.2043
Y2 Y 0.0000 0.3477 0.2938
```

Main lines, by intensity (10 to 90 degrees two-theta):
- 32.08 deg, 2.790 Å, rel. 100, (1 3 2)
- 30.78 deg, 2.905 Å, rel. 56, (0 4 1)
- 31.45 deg, 2.845 Å, rel. 39, (2 0 0)
- 56.39 deg, 1.632 Å, rel. 21, (3 3 2)
- 33.91 deg, 2.644 Å, rel. 19, (0 0 4)
- 44.62 deg, 2.031 Å, rel. 18, (2 4 1)
- 62.13 deg, 1.494 Å, rel. 16, (1 7 3)
- 46.92 deg, 1.936 Å, rel. 15, (2 0 4)
- 62.83 deg, 1.479 Å, rel. 14, (2 4 5)
- 52.87 deg, 1.732 Å, rel. 12, (0 4 5)


No. 6
Structure and simulated powder diffraction line list of Tb3Sm2Dy6Zr (a DFT-relaxed cell (PBE, Alexandria); Cu Kα (λ = 1.5418 Å)).

Cell and atoms:
```
data_Tb3Sm2Dy6Zr
_chemical_formula_sum 'Tb6 Sm4 Dy12 Zr2'
_symmetry_space_group_name_H-M 'C 1 2/m 1'
_symmetry_Int_Tables_number 12
_symmetry_space_group_name_Hall '-C 2y'
_cell_length_a 6.1160
_cell_length_b 10.5738
_cell_length_c 11.6769
_cell_angle_alpha 90.00
_cell_angle_beta 99.95
_cell_angle_gamma 90.00
loop_
_atom_site_label
_atom_site_type_symbol
_atom_site_fract_x
_atom_site_fract_y
_atom_site_fract_z
Tb1 Tb 0.0000 0.0000 0.0000
Tb2 Tb 0.0000 0.3337 0.0000
Sm1 Sm 0.0000 0.1668 0.5000
Dy1 Dy 0.2441 0.5000 0.2541
Dy2 Dy 0.2455 0.3368 0.7462
Zr1 Zr 0.0000 0.5000 0.5000
```

Main lines, by intensity (10 to 90 degrees two-theta):
- 31.07 deg, 2.879 Å, rel. 100, (1 3 1)
- 36.03 deg, 2.493 Å, rel. 50, (2 0 2)
- 51.85 deg, 1.763 Å, rel. 30, (0 6 0)
- 61.72 deg, 1.503 Å, rel. 25, (2 6 -2)
- 61.61 deg, 1.505 Å, rel. 11, (4 0 0)
- 64.74 deg, 1.440 Å, rel. 9, (2 6 2)
- 87.48 deg, 1.115 Å, rel. 8, (4 6 -4)
- 84.79 deg, 1.143 Å, rel. 7, (1 9 1)
- 61.79 deg, 1.501 Å, rel. 7, (1 3 -7)
- 51.93 deg, 1.761 Å, rel. 6, (2 0 -6)